Computed powder X-ray diffraction pattern
Compound: Na3VH6O7
Radiation: copper Kα
Structure: a GGA+U-relaxed structure

Principal peaks in the range 5 to 70 degrees two-theta, low angle first:
2θ = 16.41°, I 34.8; 2θ = 20.68°, I 31.6; 2θ = 25.65°, I 40.6; 2θ = 26.52°, I 46.2; 2θ = 33.87°, I 100.0; 2θ = 39.42°, I 58.0; 2θ = 40.35°, I 27.5; 2θ = 55.08°, I 21.5; 2θ = 56.72°, I 34.4; 2θ = 57.23°, I 36.7

Crystal structure
abc: 8.5883 8.5883 7.8547
angles: 90.00 90.00 120.00
Space group R3 (No. 146, hexagonal axes)
Symmetry-distinct sites (fractional):
Na  0.1209  0.4374  0.0000 (multiplicity 9)
V  0.0000  0.0000  0.7447 (multiplicity 3)
H  0.0075  0.6568  0.4793 (multiplicity 9)
H  0.1651  0.7023  0.6925 (multiplicity 9)
O  0.0000  0.0000  0.5242 (multiplicity 3)
O  0.0213  0.7900  0.1358 (multiplicity 9)
O  0.2054  0.4483  0.4950 (multiplicity 9)